Dy2PaRuN4: theoretical X-ray powder pattern (a wavelength of 1.5418 Å), based on a structure optimized by DFT (GGA-PBE).
Intensities are scaled so that the largest is 100.

a = 3.362 Å, b = 11.554 Å, c = 11.550 Å
α = 90.00°, β = 90.00°, γ = 90.00°
Space group Cmcm (No. 63)
Asymmetric unit:
Dy 0.000 0.129 0.052
Pa 0.000 0.384 0.250
Ru 0.000 0.357 0.750
N 0.000 0.034 0.250
N 0.000 0.217 0.635
N 0.000 0.500 0.000

The 10 most intense peaks (2θ from 5° to 70°), by intensity:
two_theta  d/Å  intensity  hkl
31.8  2.818  100  1 1 2
31.0  2.888  96  0 4 0
38.8  2.319  77  1 3 2
27.8  3.204  68  0 2 3
36.3  2.474  31  1 3 1
50.5  1.809  30  1 5 2
53.7  1.707  26  1 3 5
64.1  1.453  25  2 4 0
48.5  1.879  24  1 1 5
44.4  2.042  22  0 4 4

---

Tb2Pm2ErTm: theoretical X-ray powder pattern (a wavelength of 1.5418 Å), based on a structure optimized by DFT (GGA-PBE).
Intensities are scaled so that the largest is 100.

a = 6.989 Å, b = 5.628 Å, c = 9.754 Å
α = 90.00°, β = 90.00°, γ = 90.00°
Space group Pmma (No. 51)
Asymmetric unit:
Tb 0.250 0.000 0.163
Tb 0.250 0.500 0.669
Pm 0.000 0.500 0.000
Pm 0.250 0.000 0.822
Er 0.250 0.500 0.342
Tm 0.000 0.000 0.500

The 10 most intense peaks (2θ from 5° to 70°), by intensity:
two_theta  d/Å  intensity  hkl
31.8  2.815  100  0 2 0
31.5  2.840  92  2 1 1
56.5  1.630  35  2 3 1
45.4  1.999  33  2 2 2
62.6  1.484  29  4 2 0
56.6  1.625  19  0 3 3
66.4  1.407  12  0 4 0
41.2  2.192  11  2 2 0
52.4  1.747  8  4 0 0
25.5  3.494  6  2 0 0

---

NaPa2PN6: theoretical X-ray powder pattern (a wavelength of 1.5418 Å), based on a structure optimized by DFT (GGA-PBE).
Intensities are scaled so that the largest is 100.

a = 5.082 Å, b = 5.082 Å, c = 5.035 Å
α = 90.00°, β = 90.00°, γ = 90.00°
Space group P4mm (No. 99)
Asymmetric unit:
Na 0.000 0.000 0.000
Pa 0.000 0.500 0.471
P 0.500 0.500 0.047
N 0.000 0.000 0.562
N 0.280 0.280 0.192
N 0.500 0.500 0.715

The 10 most intense peaks (2θ from 5° to 70°), by intensity:
two_theta  d/Å  intensity  hkl
30.6  2.925  100  1 1 1
17.6  5.035  62  0 0 1
24.8  3.594  45  1 1 0
39.7  2.269  37  2 0 1
35.3  2.541  33  2 0 0
60.5  1.531  30  3 1 1
43.9  2.062  28  1 1 2
51.1  1.788  28  2 0 2
50.8  1.797  17  2 2 0
69.4  1.355  15  3 1 2

---

Tb5Pm2Pr4: theoretical X-ray powder pattern (a wavelength of 1.5418 Å), based on a structure optimized by DFT (GGA-PBE).
Intensities are scaled so that the largest is 100.

a = 19.448 Å, b = 5.757 Å, c = 6.713 Å
α = 90.00°, β = 90.96°, γ = 90.00°
Space group C2/m (No. 12)
Asymmetric unit:
Tb 0.000 0.000 0.000
Tb 0.131 0.500 0.893
Tb 0.209 0.500 0.401
Pm 0.098 0.000 0.553
Pr 0.021 0.500 0.284
Pr 0.195 0.000 0.078

The 10 most intense peaks (2θ from 5° to 70°), by intensity:
two_theta  d/Å  intensity  hkl
31.1  2.876  100  0 2 0
30.9  2.890  69  5 1 1
30.4  2.938  25  6 0 -1
44.0  2.056  18  6 2 -1
55.3  1.661  15  1 3 -2
30.6  2.921  15  5 1 -1
55.2  1.664  13  5 3 1
55.6  1.653  11  4 2 3
44.9  2.020  11  4 0 3
61.0  1.519  8  11 1 -2

---

Ac8Ni3Pt: theoretical X-ray powder pattern (a wavelength of 1.5418 Å), based on a structure optimized by DFT (GGA-PBE).
Intensities are scaled so that the largest is 100.

a = 14.333 Å, b = 8.722 Å, c = 8.387 Å
α = 90.00°, β = 122.45°, γ = 90.00°
Space group C2/m (No. 12)
Asymmetric unit:
Ac 0.007 0.244 0.251
Ac 0.244 0.000 0.254
Ac 0.249 0.500 0.261
Ni 0.000 0.000 0.000
Ni 0.250 0.250 0.500
Pt 0.000 0.500 0.000

The 10 most intense peaks (2θ from 5° to 70°), by intensity:
two_theta  d/Å  intensity  hkl
29.6  3.021  100  2 2 -2
25.2  3.538  61  0 0 2
41.4  2.182  41  2 2 2
43.2  2.094  35  4 0 -4
51.7  1.769  21  0 0 4
49.9  1.829  19  2 2 -4
26.6  3.353  17  4 0 -2
13.2  6.706  14  2 0 -1
61.4  1.511  13  4 4 -4
68.2  1.374  12  0 4 4

---

Ac2CeIr2I2: theoretical X-ray powder pattern (a wavelength of 1.5418 Å), based on a structure optimized by DFT (GGA-PBE).
Intensities are scaled so that the largest is 100.

a = 5.162 Å, b = 5.162 Å, c = 17.788 Å
α = 90.00°, β = 90.00°, γ = 90.00°
Space group I4/mmm (No. 139)
Asymmetric unit:
Ac 0.000 0.000 0.108
Ce 0.000 0.000 0.500
Ir 0.000 0.500 0.000
I 0.000 0.000 0.309

The 10 most intense peaks (2θ from 5° to 70°), by intensity:
two_theta  d/Å  intensity  hkl
30.5  2.929  100  1 0 5
9.9  8.894  88  0 0 2
34.8  2.581  80  2 0 0
46.9  1.937  61  2 1 5
31.7  2.821  54  1 1 4
50.0  1.825  29  2 2 0
24.4  3.650  28  1 1 0
26.4  3.377  25  1 1 2
63.5  1.465  24  2 0 10
60.4  1.532  18  3 1 4

---

La5Pr4Hg4: theoretical X-ray powder pattern (a wavelength of 1.5418 Å), based on a structure optimized by DFT (GGA-PBE).
Intensities are scaled so that the largest is 100.

a = 12.603 Å, b = 12.603 Å, c = 5.369 Å
α = 90.00°, β = 90.00°, γ = 90.00°
Space group I4/m (No. 87)
Asymmetric unit:
La 0.000 0.000 0.000
La 0.119 0.187 0.500
Pr 0.095 0.389 0.000
Hg 0.099 0.764 0.000

The 10 most intense peaks (2θ from 5° to 70°), by intensity:
two_theta  d/Å  intensity  hkl
30.5  2.929  100  3 2 1
33.4  2.684  29  0 0 2
33.7  2.656  18  4 1 1
57.9  1.593  16  3 2 3
36.3  2.472  15  1 5 0
31.8  2.818  12  2 4 0
65.7  1.422  12  8 3 1
50.2  1.818  11  1 5 2
42.1  2.145  10  2 5 1
46.7  1.944  8  2 4 2

---

KAsPb2Br8: theoretical X-ray powder pattern (a wavelength of 1.5418 Å), based on a structure optimized by DFT (GGA-PBE).
Intensities are scaled so that the largest is 100.

a = 6.795 Å, b = 7.115 Å, c = 9.079 Å
α = 89.99°, β = 89.94°, γ = 88.77°
Space group P-1 (No. 2)
Asymmetric unit:
K 0.000 0.000 0.000
As 0.000 0.000 0.500
Pb 0.500 0.500 0.256
Br 0.226 0.311 0.500
Br 0.232 0.849 0.709
Br 0.232 0.850 0.291
Br 0.270 0.366 0.000

The 10 most intense peaks (2θ from 5° to 70°), by intensity:
two_theta  d/Å  intensity  hkl
26.6  3.351  100  1 1 -2
35.5  2.526  61  -2 1 2
18.2  4.861  59  1 -1 0
17.9  4.966  59  1 1 0
28.6  3.124  52  1 -2 0
23.6  3.774  51  1 0 -2
43.0  2.102  49  0 3 -2
35.1  2.555  46  2 1 2
39.7  2.269  32  0 0 4
12.4  7.113  29  0 1 0

---

Ac2La6Os: theoretical X-ray powder pattern (a wavelength of 1.5418 Å), based on a structure optimized by DFT (GGA-PBE).
Intensities are scaled so that the largest is 100.

a = 13.362 Å, b = 7.748 Å, c = 8.134 Å
α = 90.00°, β = 127.17°, γ = 90.00°
Space group C2/m (No. 12)
Asymmetric unit:
Ac 0.203 0.000 0.198
La 0.004 0.272 0.284
La 0.238 0.000 0.738
Os 0.000 0.500 0.000

The 10 most intense peaks (2θ from 5° to 70°), by intensity:
two_theta  d/Å  intensity  hkl
31.9  2.805  100  2 2 -2
27.7  3.225  69  4 0 -2
28.5  3.132  66  2 2 0
46.9  1.936  37  0 4 0
27.5  3.241  34  0 0 2
33.7  2.662  30  4 0 0
26.8  3.323  25  0 2 1
47.2  1.927  23  6 2 -2
44.6  2.033  17  4 0 -4
23.0  3.872  16  0 2 0

---

PmPrGa2Pd5: theoretical X-ray powder pattern (a wavelength of 1.5418 Å), based on a structure optimized by DFT (GGA-PBE).
Intensities are scaled so that the largest is 100.

a = 4.304 Å, b = 4.304 Å, c = 9.282 Å
α = 90.00°, β = 90.00°, γ = 90.00°
Space group P4/mmm (No. 123)
Asymmetric unit:
Pm 0.000 0.000 0.000
Pr 0.000 0.000 0.500
Ga 0.500 0.500 0.137
Pd 0.000 0.500 0.273
Pd 0.500 0.500 0.500

The 10 most intense peaks (2θ from 5° to 70°), by intensity:
two_theta  d/Å  intensity  hkl
35.3  2.545  100  1 1 2
42.0  2.152  47  2 0 0
41.6  2.170  17  1 1 3
60.9  1.522  15  2 2 0
58.5  1.578  14  2 0 4
68.0  1.379  13  1 1 6
38.8  2.320  12  0 0 4
28.3  3.156  12  1 0 2
35.7  2.512  9  1 0 3
44.4  2.042  9  1 0 4

---

NaIn2SnHg2: theoretical X-ray powder pattern (a wavelength of 1.5418 Å), based on a structure optimized by DFT (GGA-PBE).
Intensities are scaled so that the largest is 100.

a = 4.729 Å, b = 8.881 Å, c = 7.741 Å
α = 90.00°, β = 90.00°, γ = 90.00°
Space group Pmc2_1 (No. 26)
Asymmetric unit:
Na 0.000 0.095 0.000
In 0.000 0.272 0.418
In 0.500 0.409 0.092
Sn 0.500 0.226 0.683
Hg 0.000 0.416 0.818
Hg 0.500 0.097 0.284

The 10 most intense peaks (2θ from 5° to 70°), by intensity:
two_theta  d/Å  intensity  hkl
37.7  2.387  100  1 3 1
31.5  2.838  86  1 1 2
29.8  2.994  52  1 0 2
38.1  2.365  42  2 0 0
23.1  3.852  40  0 2 1
21.3  4.174  37  1 1 0
40.4  2.231  27  0 2 3
45.0  2.016  27  2 0 2
32.4  2.765  22  0 3 1
23.0  3.870  21  0 0 2

---

Ac6Tl2Ni: theoretical X-ray powder pattern (a wavelength of 1.5418 Å), based on a structure optimized by DFT (GGA-PBE).
Intensities are scaled so that the largest is 100.

a = 7.615 Å, b = 7.929 Å, c = 13.671 Å
α = 90.00°, β = 122.84°, γ = 90.00°
Space group P2_1/c (No. 14)
Asymmetric unit:
Ac 0.150 0.194 0.460
Ac 0.277 0.687 0.466
Ac 0.344 0.011 0.255
Tl 0.210 0.069 0.748
Ni 0.500 0.000 0.500

The 10 most intense peaks (2θ from 5° to 70°), by intensity:
two_theta  d/Å  intensity  hkl
27.3  3.265  100  0 2 2
31.1  2.872  43  0 0 4
32.6  2.746  34  2 2 -2
28.4  3.148  32  2 0 -4
27.0  3.302  30  2 1 -1
27.9  3.199  28  2 0 0
47.4  1.918  18  1 4 -1
29.7  3.010  18  1 2 1
26.0  3.432  17  2 1 -2
26.2  3.397  17  1 0 -4